Structure and computed XRD peak list of Tm5Se8 (a crystal structure in Alexandria, relaxed with PBE; Cu Kα).

The 6 most intense peaks (2θ from 15° to 90°), by angle:
two_theta	I/Imax
25.32	37.5
28.55	48.3
28.86	100.0
36.98	48.2
37.45	64.8
44.79	60.6

Atomic structure:
```
Tm5Se8
1.0
6.6504 -4.0694 0.0000
6.6504 4.0694 0.0000
-6.4829 0.0000 6.9967
Tm Se
5 8
Direct
0.0000 0.0000 0.0000
0.2596 0.7404 0.5000
0.2767 0.2767 0.0063
0.7233 0.7233 0.9937
0.7404 0.2596 0.5000
0.0167 0.0167 0.3137
0.0188 0.5546 0.8313
0.4454 0.9812 0.1687
0.4541 0.4541 0.6585
0.5459 0.5459 0.3415
0.5546 0.0188 0.8313
0.9812 0.4454 0.1687
0.9833 0.9833 0.6863
```

---

Structure and computed XRD peak list of Tm2Se5 (a crystal structure in Alexandria, relaxed with PBE; Cu Kα).

The 6 most intense peaks (2θ from 15° to 90°), by angle:
two_theta	I/Imax
29.64	34.1
32.08	46.7
33.77	100.0
37.47	74.1
39.89	67.7
45.89	69.6

Atomic structure:
```
Tm2Se5
1.0
1.9774 -21.0979 0.0000
1.9774 21.0979 0.0000
0.0000 0.0000 3.9549
Tm Se
4 10
Direct
0.1043 0.8957 0.7500
0.3058 0.6942 0.7500
0.6942 0.3058 0.2500
0.8957 0.1043 0.2500
0.0504 0.9496 0.2500
0.1760 0.8240 0.7500
0.2500 0.7500 0.2500
0.3746 0.6254 0.7500
0.4496 0.5504 0.2500
0.5504 0.4496 0.7500
0.6254 0.3746 0.2500
0.7500 0.2500 0.7500
0.8240 0.1760 0.2500
0.9496 0.0504 0.7500
```

---

Structure and computed XRD peak list of TmSe2 (a crystal structure in Alexandria, relaxed with PBE; Cu Kα).

The 6 most intense peaks (2θ from 15° to 90°), by angle:
two_theta	I/Imax
24.56	61.6
31.35	40.6
33.22	62.9
38.36	100.0
39.67	63.1
44.92	57.1

Atomic structure:
```
TmSe2
1.0
4.0356 0.0000 0.0000
0.0000 4.0356 0.0000
0.0000 0.0000 8.2474
Tm Se
2 4
Direct
0.2500 0.2500 0.2265
0.7500 0.7500 0.7735
0.2500 0.2500 0.8708
0.2500 0.7500 0.5000
0.7500 0.2500 0.5000
0.7500 0.7500 0.1292
```

---

Structure and computed XRD peak list of Tm5Se4 (a crystal structure in Alexandria, relaxed with PBE; Cu Kα).

The 6 most intense peaks (2θ from 15° to 90°), by angle:
two_theta	I/Imax
34.79	100.0
34.97	45.7
49.75	9.8
50.29	14.0
62.25	17.2
62.61	26.7

Atomic structure:
```
Tm5Se4
1.0
-5.4426 5.4426 1.8327
5.4426 -5.4426 1.8327
5.4426 5.4426 -1.8327
Tm Se
5 4
Direct
0.0000 0.0000 0.0000
0.0000 0.3097 0.3097
0.0000 0.6903 0.6903
0.3097 0.0000 0.3097
0.6903 0.0000 0.6903
0.3462 0.3462 0.6924
0.3462 0.6538 0.0000
0.6538 0.3462 0.0000
0.6538 0.6538 0.3076
```

---

Structure and computed XRD peak list of TmU4Se7 (a crystal structure in Alexandria, relaxed with PBE; Cu Kα).

The 6 most intense peaks (2θ from 15° to 90°), by angle:
two_theta	I/Imax
29.64	100.0
34.15	38.6
39.71	20.4
44.97	43.3
46.02	34.1
72.56	21.9

Atomic structure:
```
TmU4Se7
1.0
4.0313 0.0000 0.0000
-2.0157 3.4912 0.0000
0.0000 0.0000 23.9019
Tm U Se
1 4 7
Direct
0.0000 0.0000 0.0000
0.3333 0.6667 0.1423
0.3333 0.6667 0.4274
0.6667 0.3333 0.5726
0.6667 0.3333 0.8577
0.0000 0.0000 0.2087
0.0000 0.0000 0.5000
0.0000 0.0000 0.7913
0.3333 0.6667 0.6393
0.3333 0.6667 0.9322
0.6667 0.3333 0.0678
0.6667 0.3333 0.3607
```

---

Structure and computed XRD peak list of TmU2Se4 (a crystal structure in Alexandria, relaxed with PBE; Cu Kα).

The 6 most intense peaks (2θ from 15° to 90°), by angle:
two_theta	I/Imax
23.12	100.0
30.66	41.1
31.32	51.8
33.24	78.6
40.20	69.3
44.94	34.5

Atomic structure:
```
TmU2Se4
1.0
1.9254 -6.7006 0.0000
1.9254 6.7006 0.0000
0.0000 0.0000 14.0978
Tm U Se
2 4 8
Direct
0.1150 0.8850 0.7500
0.8850 0.1150 0.2500
0.3598 0.6402 0.5664
0.3598 0.6402 0.9336
0.6402 0.3598 0.0664
0.6402 0.3598 0.4336
0.0000 0.0000 0.0000
0.0000 0.0000 0.5000
0.2879 0.7121 0.1293
0.2879 0.7121 0.3707
0.4589 0.5411 0.7500
0.5411 0.4589 0.2500
0.7121 0.2879 0.6293
0.7121 0.2879 0.8707
```

---

Structure and computed XRD peak list of Y3TmSe6 (a crystal structure in Alexandria, relaxed with PBE; Cu Kα).

The 6 most intense peaks (2θ from 15° to 90°), by angle:
two_theta	I/Imax
21.22	50.3
23.61	37.0
26.00	54.3
33.69	72.3
34.02	100.0
39.98	84.4

Atomic structure:
```
Y3TmSe6
1.0
5.9670 3.4451 4.7597
-5.9670 3.4451 4.7597
0.0000 -6.8901 4.7597
Y Tm Se
6 2 12
Direct
0.0709 0.5796 0.7456
0.2544 0.9291 0.4204
0.4204 0.2544 0.9291
0.5796 0.7456 0.0709
0.7456 0.0709 0.5796
0.9291 0.4204 0.2544
0.0000 0.0000 0.0000
0.5000 0.5000 0.5000
0.0391 0.9092 0.6825
0.0908 0.3176 0.9609
0.1867 0.5874 0.4148
0.3175 0.9609 0.0908
0.4126 0.5852 0.8133
0.4148 0.1867 0.5874
0.5852 0.8133 0.4126
0.5874 0.4148 0.1867
0.6825 0.0391 0.9092
0.8133 0.4126 0.5852
0.9092 0.6825 0.0391
0.9609 0.0908 0.3175
```

---

Structure and computed XRD peak list of YbTm2Se4 (a crystal structure in Alexandria, relaxed with PBE; Cu Kα).

The 6 most intense peaks (2θ from 15° to 90°), by angle:
two_theta	I/Imax
23.67	88.1
29.41	40.6
30.69	99.4
32.78	100.0
40.58	72.7
45.26	84.7

Atomic structure:
```
YbTm2Se4
1.0
13.3857 0.0000 0.0000
0.0000 4.0091 0.0000
0.0000 0.0000 13.6298
Yb Tm Se
4 8 16
Direct
0.1309 0.2500 0.0848
0.3691 0.7500 0.5848
0.6309 0.2500 0.4152
0.8691 0.7500 0.9152
0.1069 0.7500 0.4203
0.1486 0.7500 0.8005
0.3514 0.2500 0.3005
0.3931 0.2500 0.9203
0.6069 0.7500 0.0797
0.6486 0.7500 0.6995
0.8514 0.2500 0.1995
0.8931 0.2500 0.5797
0.0300 0.2500 0.8849
0.0347 0.7500 0.6203
0.2146 0.7500 0.2384
0.2431 0.2500 0.4784
0.2569 0.7500 0.9784
0.2854 0.2500 0.7384
0.4653 0.2500 0.1203
0.4700 0.7500 0.3849
0.5300 0.2500 0.6151
0.5347 0.7500 0.8797
0.7146 0.7500 0.2616
0.7431 0.2500 0.0216
0.7569 0.7500 0.5216
0.7854 0.2500 0.7616
0.9653 0.2500 0.3797
0.9700 0.7500 0.1151
```

---

> What is the formula in the third record?

TmSe2